This entry pairs a crystal structure of K2ZnP2O7 with its calculated X-ray powder pattern. Radiation: Cu Kα, 1.54184 Å. Structure: a PBE-relaxed structure.

Main lines, by angle (2θ = 5–70°):
two_theta, I/Imax
15.84, 38.7
22.59, 30.5
27.80, 51.5
30.09, 100.0
36.24, 37.9
49.12, 36.0

Structure:
```
data_K2ZnP2O7
_cell_length_a 7.8364
_cell_length_b 7.8364
_cell_length_c 11.1864
_cell_angle_alpha 90.00
_cell_angle_beta 90.00
_cell_angle_gamma 90.00
_space_group_name_H-M_alt 'P 42/m n m'
_space_group_IT_number 136
_space_group_name_Hall '-P 4n 2n'
loop_
_atom_site_label
_atom_site_fract_x
_atom_site_fract_y
_atom_site_fract_z
_atom_site_occupancy
K1 0.1473 0.1473 0.0000 1
K2 0.1855 0.1855 0.5000 1
Zn1 0.0000 0.5000 0.2500 1
P1 0.1378 0.8622 0.2855 1
O1 0.0000 0.0000 0.3371 1
O2 0.0794 0.6947 0.3458 1
O3 0.1368 0.8632 0.1511 1
```

---

This entry pairs a crystal structure of K2ZrP2O8 with its calculated X-ray powder pattern. Radiation: Cu Kα, 1.54184 Å. Structure: a PBE-relaxed structure.

Main lines, by angle (2θ = 5–70°):
two_theta, I/Imax
9.84, 83.4
22.32, 100.0
28.24, 92.0
34.98, 49.9
45.21, 23.6
46.61, 27.0

Structure:
```
data_K2ZrP2O8
_cell_length_a 5.1309
_cell_length_b 5.1309
_cell_length_c 8.9895
_cell_angle_alpha 90.00
_cell_angle_beta 90.00
_cell_angle_gamma 120.00
_space_group_name_H-M_alt 'P -3'
_space_group_IT_number 147
_space_group_name_Hall '-P 3'
loop_
_atom_site_label
_atom_site_fract_x
_atom_site_fract_y
_atom_site_fract_z
_atom_site_occupancy
K1 0.3333 0.6667 0.1504 1
Zr1 0.0000 0.0000 0.5000 1
P1 0.3333 0.6667 0.6985 1
O1 0.0782 0.7176 0.6383 1
O2 0.3333 0.6667 0.8674 1
```

---

This entry pairs a crystal structure of KPa2O6 with its calculated X-ray powder pattern. Radiation: Cu Kα, 1.54184 Å. Structure: a PBE-relaxed structure.

Main lines, by angle (2θ = 5–70°):
two_theta, I/Imax
9.70, 49.0
27.67, 100.0
33.32, 19.5
45.02, 35.3
51.09, 18.6
56.16, 28.5

Structure:
```
data_KPa2O6
_cell_length_a 3.8028
_cell_length_b 3.8028
_cell_length_c 18.2295
_cell_angle_alpha 90.00
_cell_angle_beta 90.00
_cell_angle_gamma 90.00
_space_group_name_H-M_alt 'I 4/m m m'
_space_group_IT_number 139
_space_group_name_Hall '-I 4 2'
loop_
_atom_site_label
_atom_site_fract_x
_atom_site_fract_y
_atom_site_fract_z
_atom_site_occupancy
K1 0.0000 0.0000 0.0000 1
Pa1 0.0000 0.0000 0.3309 1
O1 0.0000 0.5000 0.1061 1
O2 0.0000 0.5000 0.2500 1
```

---

This entry pairs a crystal structure of K2Pd2Pb2O7 with its calculated X-ray powder pattern. Radiation: Cu Kα, 1.54184 Å. Structure: a PBE-relaxed structure.

Main lines, by angle (2θ = 5–70°):
two_theta, I/Imax
11.54, 31.4
20.94, 52.9
29.15, 100.0
30.41, 94.9
42.63, 40.5
53.26, 41.4

Structure:
```
data_K2Pd2Pb2O7
_cell_length_a 5.8789
_cell_length_b 5.8789
_cell_length_c 7.6703
_cell_angle_alpha 90.00
_cell_angle_beta 90.00
_cell_angle_gamma 120.00
_space_group_name_H-M_alt 'P -3'
_space_group_IT_number 147
_space_group_name_Hall '-P 3'
loop_
_atom_site_label
_atom_site_fract_x
_atom_site_fract_y
_atom_site_fract_z
_atom_site_occupancy
K1 0.3333 0.6667 0.0940 1
Pd1 0.0000 0.0000 0.2355 1
Pb1 0.3333 0.6667 0.5934 1
O1 0.0000 0.0000 0.5000 1
O2 0.1261 0.7593 0.7994 1
```